# 1
Diffraction record for Li4MnCo2O7. The X-ray diffraction stick pattern is theoretical, not measured: it uses a crystal structure in the Materials Project, relaxed with PBE+U and Cu Kα (λ = 1.5418 Å).

Atomic structure:
```
data_Li4MnCo2O7
_chemical_formula_sum 'Li8 Mn2 Co4 O14'
_cell_length_a 3.0325
_cell_length_b 6.3870
_cell_length_c 13.5742
_cell_angle_alpha 83.96
_cell_angle_beta 88.99
_cell_angle_gamma 76.63
_space_group_name_H-M_alt 'P -1'
_space_group_IT_number 2
loop_
_space_group_symop_operation_xyz
'x,y,z'
'-x,-y,-z'
loop_
_atom_site_label
_atom_site_type_symbol
_atom_site_fract_x
_atom_site_fract_y
_atom_site_fract_z
Li1 Li 0.0000 0.0000 0.0000
Li2 Li 0.0000 0.5000 0.5000
Li3 Li 0.1392 0.4306 0.2865
Li4 Li 0.2877 0.8544 0.5695
Li5 Li 0.4314 0.2829 0.8561
Mn1 Mn 0.2859 0.3543 0.0735
Co1 Co 0.1412 0.9329 0.7835
Co2 Co 0.4320 0.7744 0.3633
O1 O 0.0104 0.7671 0.2557
O2 O 0.1254 0.6673 0.0345
O3 O 0.1580 0.1803 0.5445
O4 O 0.2771 0.0814 0.3190
O5 O 0.2952 0.6249 0.8209
O6 O 0.4359 0.5066 0.6129
O7 O 0.4474 0.0448 0.1125
```

Peak list (8 most intense, 2θ = 15–90°, by angle)
| 2theta | I_rel |
| --- | --- |
| 18.43 | 100 |
| 33.78 | 21 |
| 36.53 | 12 |
| 36.96 | 16 |
| 40.47 | 38 |
| 44.60 | 27 |
| 45.21 | 25 |
| 62.12 | 17 |


# 2
Diffraction record for Li7Mn4CoO12. The X-ray diffraction stick pattern is theoretical, not measured: it uses a crystal structure in the Materials Project, relaxed with PBE+U and Cu Kα (λ = 1.5418 Å).

Atomic structure:
```
data_Li7Mn4CoO12
_chemical_formula_sum 'Li14 Mn8 Co2 O24'
_cell_length_a 15.7080
_cell_length_b 2.8738
_cell_length_c 10.4112
_cell_angle_alpha 90.00
_cell_angle_beta 111.85
_cell_angle_gamma 90.00
_space_group_name_H-M_alt 'C 1 m 1'
_space_group_IT_number 8
loop_
_space_group_symop_operation_xyz
'x,y,z'
'x,-y,z'
'x+1/2,y+1/2,z'
'x+1/2,-y+1/2,z'
loop_
_atom_site_label
_atom_site_type_symbol
_atom_site_fract_x
_atom_site_fract_y
_atom_site_fract_z
Li1 Li 0.0000 0.0000 0.0000
Li2 Li 0.0023 0.5000 0.2441
Li3 Li 0.0046 0.0000 0.4884
Li4 Li 0.1650 0.5000 0.4875
Li5 Li 0.1676 0.5000 0.9931
Li6 Li 0.3367 0.0000 0.4966
Li7 Li 0.3393 0.0000 0.9979
Mn1 Mn 0.0007 0.5000 0.7450
Mn2 Mn 0.1654 0.0000 0.2472
Mn3 Mn 0.1701 0.0000 0.7409
Mn4 Mn 0.3394 0.5000 0.2405
Co1 Co 0.3362 0.5000 0.7461
O1 O 0.0755 0.0000 0.8623
O2 O 0.0944 0.5000 0.6231
O3 O 0.0955 0.5000 0.1309
O4 O 0.0983 0.0000 0.3577
O5 O 0.2427 0.5000 0.8590
O6 O 0.2496 0.5000 0.3507
O7 O 0.2549 0.0000 0.1372
O8 O 0.2653 0.0000 0.6311
O9 O 0.4070 0.5000 0.1309
O10 O 0.4084 0.0000 0.8610
O11 O 0.4089 0.0000 0.3570
O12 O 0.4269 0.5000 0.6272
```

Peak list (8 most intense, 2θ = 15–90°, by angle)
| 2theta | I_rel |
| --- | --- |
| 18.36 | 100 |
| 34.60 | 17 |
| 36.32 | 24 |
| 41.78 | 33 |
| 44.18 | 58 |
| 62.27 | 16 |
| 62.58 | 16 |
| 64.87 | 12 |


# 3
Diffraction record for Li6Mn3CoO10. The X-ray diffraction stick pattern is theoretical, not measured: it uses a crystal structure in the Materials Project, relaxed with PBE+U and Cu Kα (λ = 1.5418 Å).

Atomic structure:
```
data_Li6Mn3CoO10
_chemical_formula_sum 'Li6 Mn3 Co1 O10'
_cell_length_a 2.9975
_cell_length_b 6.4605
_cell_length_c 9.9159
_cell_angle_alpha 79.23
_cell_angle_beta 86.13
_cell_angle_gamma 76.71
_space_group_name_H-M_alt 'P 1'
_space_group_IT_number 1
loop_
_space_group_symop_operation_xyz
'x,y,z'
loop_
_atom_site_label
_atom_site_type_symbol
_atom_site_fract_x
_atom_site_fract_y
_atom_site_fract_z
Li1 Li 0.0000 0.0000 0.0000
Li2 Li 0.0661 0.8183 0.2814
Li3 Li 0.1699 0.6191 0.5866
Li4 Li 0.3924 0.1894 0.1909
Li5 Li 0.5709 0.8118 0.7808
Li6 Li 0.7906 0.4086 0.3892
Mn1 Mn 0.2999 0.4008 0.8919
Mn2 Mn 0.6873 0.6130 0.0957
Mn3 Mn 0.8820 0.2055 0.6842
Co1 Co 0.4752 0.9984 0.4773
O1 O 0.0448 0.9224 0.6338
O2 O 0.1750 0.6831 0.9563
O3 O 0.2061 0.5203 0.2189
O4 O 0.3201 0.2835 0.5380
O5 O 0.4549 0.1187 0.8313
O6 O 0.5381 0.8878 0.1330
O7 O 0.6259 0.7330 0.4473
O8 O 0.7146 0.4916 0.7424
O9 O 0.8646 0.3220 0.0350
O10 O 0.9101 0.1014 0.3515
```

Peak list (8 most intense, 2θ = 15–90°, by angle)
| 2theta | I_rel |
| --- | --- |
| 18.29 | 100 |
| 34.26 | 16 |
| 36.36 | 21 |
| 41.07 | 34 |
| 44.09 | 27 |
| 44.58 | 26 |
| 62.08 | 8 |
| 62.48 | 9 |


# 4
Diffraction record for Li4MnCo2O7. The X-ray diffraction stick pattern is theoretical, not measured: it uses a crystal structure in the Materials Project, relaxed with PBE+U and Cu Kα (λ = 1.5418 Å).

Atomic structure:
```
data_Li4MnCo2O7
_chemical_formula_sum 'Li8 Mn2 Co4 O14'
_cell_length_a 2.9716
_cell_length_b 5.9642
_cell_length_c 14.3152
_cell_angle_alpha 82.94
_cell_angle_beta 84.56
_cell_angle_gamma 85.99
_space_group_name_H-M_alt 'P 1'
_space_group_IT_number 1
loop_
_space_group_symop_operation_xyz
'x,y,z'
loop_
_atom_site_label
_atom_site_type_symbol
_atom_site_fract_x
_atom_site_fract_y
_atom_site_fract_z
Li1 Li 0.0000 0.0000 0.0000
Li2 Li 0.0119 0.5201 0.9984
Li3 Li 0.1458 0.0802 0.7190
Li4 Li 0.2912 0.6523 0.4321
Li5 Li 0.4395 0.2202 0.1413
Li6 Li 0.5712 0.8001 0.8676
Li7 Li 0.7200 0.3649 0.5732
Li8 Li 0.8601 0.9364 0.2906
Mn1 Mn 0.1463 0.5804 0.7181
Mn2 Mn 0.4396 0.7303 0.1419
Co1 Co 0.2912 0.1523 0.4311
Co2 Co 0.5664 0.2816 0.8674
Co3 Co 0.7232 0.8685 0.5736
Co4 Co 0.8700 0.4396 0.2898
O1 O 0.0514 0.0638 0.8598
O2 O 0.1023 0.5346 0.8553
O3 O 0.1907 0.6252 0.5785
O4 O 0.2499 0.1071 0.5669
O5 O 0.3329 0.2000 0.2936
O6 O 0.3959 0.6739 0.2837
O7 O 0.4953 0.7530 0.0137
O8 O 0.5152 0.2653 0.9904
O9 O 0.6203 0.3360 0.7274
O10 O 0.6754 0.8269 0.7093
O11 O 0.7625 0.9140 0.4375
O12 O 0.8171 0.3898 0.4250
O13 O 0.9111 0.9433 0.1467
O14 O 0.9560 0.4990 0.1521
```

Peak list (8 most intense, 2θ = 15–90°, by angle)
| 2theta | I_rel |
| --- | --- |
| 18.40 | 100 |
| 34.57 | 18 |
| 36.77 | 23 |
| 37.31 | 8 |
| 41.47 | 34 |
| 44.65 | 26 |
| 44.83 | 25 |
| 62.65 | 16 |


# 5
Diffraction record for Li4MnCo3O8. The X-ray diffraction stick pattern is theoretical, not measured: it uses a crystal structure in the Materials Project, relaxed with PBE+U and Cu Kα (λ = 1.5418 Å).

Atomic structure:
```
data_Li4MnCo3O8
_chemical_formula_sum 'Li8 Mn2 Co6 O16'
_cell_length_a 5.2006
_cell_length_b 2.9120
_cell_length_c 19.6101
_cell_angle_alpha 90.00
_cell_angle_beta 96.64
_cell_angle_gamma 90.00
_space_group_name_H-M_alt 'C 1 2/m 1'
_space_group_IT_number 12
loop_
_space_group_symop_operation_xyz
'x,y,z'
'-x,-y,-z'
'-x,y,-z'
'x,-y,z'
'x+1/2,y+1/2,z'
'-x+1/2,-y+1/2,-z'
'-x+1/2,y+1/2,-z'
'x+1/2,-y+1/2,z'
loop_
_atom_site_label
_atom_site_type_symbol
_atom_site_fract_x
_atom_site_fract_y
_atom_site_fract_z
Li1 Li 0.1244 0.0000 0.3759
Li2 Li 0.1246 0.5000 0.8727
Mn1 Mn 0.0000 0.0000 0.0000
Co1 Co 0.0000 0.5000 0.5000
Co2 Co 0.2494 0.0000 0.7493
O1 O 0.0655 0.0000 0.1933
O2 O 0.0658 0.5000 0.6934
O3 O 0.1606 0.5000 0.0584
O4 O 0.1878 0.0000 0.5577
```

Peak list (8 most intense, 2θ = 15–90°, by angle)
| 2theta | I_rel |
| --- | --- |
| 18.22 | 100 |
| 34.89 | 17 |
| 35.96 | 27 |
| 42.11 | 29 |
| 43.67 | 51 |
| 47.09 | 11 |
| 62.21 | 15 |
| 62.35 | 15 |


# 6
Diffraction record for Li6Mn3CoO10. The X-ray diffraction stick pattern is theoretical, not measured: it uses a crystal structure in the Materials Project, relaxed with PBE+U and Cu Kα (λ = 1.5418 Å).

Atomic structure:
```
data_Li6Mn3CoO10
_chemical_formula_sum 'Li12 Mn6 Co2 O20'
_cell_length_a 13.0586
_cell_length_b 2.8803
_cell_length_c 9.8012
_cell_angle_alpha 90.00
_cell_angle_beta 103.16
_cell_angle_gamma 90.00
_space_group_name_H-M_alt 'C 1 m 1'
_space_group_IT_number 8
loop_
_space_group_symop_operation_xyz
'x,y,z'
'x,-y,z'
'x+1/2,y+1/2,z'
'x+1/2,-y+1/2,z'
loop_
_atom_site_label
_atom_site_type_symbol
_atom_site_fract_x
_atom_site_fract_y
_atom_site_fract_z
Li1 Li 0.0000 0.0000 0.0000
Li2 Li 0.0012 0.5000 0.5018
Li3 Li 0.0985 0.5000 0.7938
Li4 Li 0.1964 0.0000 0.5997
Li5 Li 0.3067 0.5000 0.4030
Li6 Li 0.4065 0.0000 0.2092
Mn1 Mn 0.0929 0.0000 0.3073
Mn2 Mn 0.2022 0.5000 0.1012
Mn3 Mn 0.4091 0.5000 0.6963
Co1 Co 0.3036 0.0000 0.8978
O1 O 0.0394 0.0000 0.6570
O2 O 0.0536 0.5000 0.1684
O3 O 0.1477 0.5000 0.4357
O4 O 0.1560 0.0000 0.9650
O5 O 0.2404 0.0000 0.2429
O6 O 0.2646 0.5000 0.7617
O7 O 0.3489 0.5000 0.0305
O8 O 0.3544 0.0000 0.5678
O9 O 0.4478 0.0000 0.8350
O10 O 0.4623 0.5000 0.3454
```

Peak list (8 most intense, 2θ = 15–90°, by angle)
| 2theta | I_rel |
| --- | --- |
| 18.45 | 100 |
| 35.07 | 15 |
| 36.28 | 23 |
| 42.55 | 32 |
| 44.07 | 59 |
| 47.69 | 12 |
| 62.73 | 16 |
| 63.11 | 16 |


# 7
Diffraction record for Li7Mn4CoO12. The X-ray diffraction stick pattern is theoretical, not measured: it uses a crystal structure in the Materials Project, relaxed with PBE+U and Cu Kα (λ = 1.5418 Å).

Atomic structure:
```
data_Li7Mn4CoO12
_chemical_formula_sum 'Li7 Mn4 Co1 O12'
_cell_length_a 3.0163
_cell_length_b 5.0990
_cell_length_c 14.9743
_cell_angle_alpha 95.94
_cell_angle_beta 93.40
_cell_angle_gamma 102.87
_space_group_name_H-M_alt 'P 1'
_space_group_IT_number 1
loop_
_space_group_symop_operation_xyz
'x,y,z'
loop_
_atom_site_label
_atom_site_type_symbol
_atom_site_fract_x
_atom_site_fract_y
_atom_site_fract_z
Li1 Li 0.0000 0.0000 0.0000
Li2 Li 0.0102 0.7693 0.2452
Li3 Li 0.0245 0.5240 0.4969
Li4 Li 0.2923 0.3256 0.3203
Li5 Li 0.3397 0.8444 0.8316
Li6 Li 0.6686 0.6731 0.6643
Li7 Li 0.6959 0.1724 0.1676
Mn1 Mn 0.0055 0.2589 0.7480
Mn2 Mn 0.3201 0.0844 0.5788
Mn3 Mn 0.6574 0.9232 0.4063
Mn4 Mn 0.6872 0.4303 0.9176
Co1 Co 0.3526 0.5950 0.0889
O1 O 0.0082 0.8506 0.1181
O2 O 0.0201 0.3674 0.6245
O3 O 0.0554 0.6793 0.3757
O4 O 0.2810 0.1764 0.4535
O5 O 0.3094 0.9779 0.7012
O6 O 0.3289 0.4678 0.1925
O7 O 0.3631 0.6995 0.9644
O8 O 0.6374 0.8124 0.5324
O9 O 0.6705 0.3224 0.0375
O10 O 0.6800 0.0558 0.2972
O11 O 0.6995 0.5391 0.7940
O12 O 0.9863 0.1463 0.8692
```

Peak list (8 most intense, 2θ = 15–90°, by angle)
| 2theta | I_rel |
| --- | --- |
| 18.25 | 100 |
| 33.83 | 19 |
| 36.33 | 11 |
| 36.46 | 12 |
| 40.46 | 37 |
| 44.43 | 54 |
| 61.50 | 8 |
| 61.76 | 9 |


# 8
Diffraction record for Li7Mn2Co3O12. The X-ray diffraction stick pattern is theoretical, not measured: it uses a crystal structure in the Materials Project, relaxed with PBE+U and Cu Kα (λ = 1.5418 Å).

Atomic structure:
```
data_Li7Mn2Co3O12
_chemical_formula_sum 'Li14 Mn4 Co6 O24'
_cell_length_a 9.7856
_cell_length_b 2.8819
_cell_length_c 15.6637
_cell_angle_alpha 90.00
_cell_angle_beta 97.92
_cell_angle_gamma 90.00
_space_group_name_H-M_alt 'C 1 m 1'
_space_group_IT_number 8
loop_
_space_group_symop_operation_xyz
'x,y,z'
'x,-y,z'
'x+1/2,y+1/2,z'
'x+1/2,-y+1/2,z'
loop_
_atom_site_label
_atom_site_type_symbol
_atom_site_fract_x
_atom_site_fract_y
_atom_site_fract_z
Li1 Li 0.0000 0.0000 0.0000
Li2 Li 0.0013 0.5000 0.1724
Li3 Li 0.0030 0.0000 0.3274
Li4 Li 0.0079 0.5000 0.5083
Li5 Li 0.0102 0.0000 0.6835
Li6 Li 0.0218 0.5000 0.8518
Li7 Li 0.2569 0.0000 0.9267
Mn1 Mn 0.2543 0.5000 0.4196
Mn2 Mn 0.2593 0.0000 0.5937
Co1 Co 0.2484 0.5000 0.0783
Co2 Co 0.2549 0.0000 0.2506
Co3 Co 0.2699 0.5000 0.7767
O1 O 0.1358 0.5000 0.2934
O2 O 0.1371 0.5000 0.9768
O3 O 0.1412 0.0000 0.7949
O4 O 0.1429 0.5000 0.6224
O5 O 0.1499 0.0000 0.1316
O6 O 0.1497 0.0000 0.4692
O7 O 0.3612 0.0000 0.7057
O8 O 0.3692 0.0000 0.3830
O9 O 0.3703 0.0000 0.0566
O10 O 0.3720 0.5000 0.2183
O11 O 0.3716 0.5000 0.5546
O12 O 0.3811 0.5000 0.8763
```

Peak list (8 most intense, 2θ = 15–90°, by angle)
| 2theta | I_rel |
| --- | --- |
| 18.31 | 100 |
| 34.69 | 14 |
| 36.26 | 24 |
| 41.80 | 29 |
| 44.10 | 57 |
| 47.24 | 9 |
| 58.08 | 9 |
| 62.38 | 28 |


- Which formula does entry 8 have?
  Li7Mn2Co3O12


What did the eighth record say?
Diffraction record for Li7Mn2Co3O12. The X-ray diffraction stick pattern is theoretical, not measured: it uses a crystal structure in the Materials Project, relaxed with PBE+U and Cu Kα (λ = 1.5418 Å).

Atomic structure:
```
data_Li7Mn2Co3O12
_chemical_formula_sum 'Li14 Mn4 Co6 O24'
_cell_length_a 9.7856
_cell_length_b 2.8819
_cell_length_c 15.6637
_cell_angle_alpha 90.00
_cell_angle_beta 97.92
_cell_angle_gamma 90.00
_space_group_name_H-M_alt 'C 1 m 1'
_space_group_IT_number 8
loop_
_space_group_symop_operation_xyz
'x,y,z'
'x,-y,z'
'x+1/2,y+1/2,z'
'x+1/2,-y+1/2,z'
loop_
_atom_site_label
_atom_site_type_symbol
_atom_site_fract_x
_atom_site_fract_y
_atom_site_fract_z
Li1 Li 0.0000 0.0000 0.0000
Li2 Li 0.0013 0.5000 0.1724
Li3 Li 0.0030 0.0000 0.3274
Li4 Li 0.0079 0.5000 0.5083
Li5 Li 0.0102 0.0000 0.6835
Li6 Li 0.0218 0.5000 0.8518
Li7 Li 0.2569 0.0000 0.9267
Mn1 Mn 0.2543 0.5000 0.4196
Mn2 Mn 0.2593 0.0000 0.5937
Co1 Co 0.2484 0.5000 0.0783
Co2 Co 0.2549 0.0000 0.2506
Co3 Co 0.2699 0.5000 0.7767
O1 O 0.1358 0.5000 0.2934
O2 O 0.1371 0.5000 0.9768
O3 O 0.1412 0.0000 0.7949
O4 O 0.1429 0.5000 0.6224
O5 O 0.1499 0.0000 0.1316
O6 O 0.1497 0.0000 0.4692
O7 O 0.3612 0.0000 0.7057
O8 O 0.3692 0.0000 0.3830
O9 O 0.3703 0.0000 0.0566
O10 O 0.3720 0.5000 0.2183
O11 O 0.3716 0.5000 0.5546
O12 O 0.3811 0.5000 0.8763
```

Peak list (8 most intense, 2θ = 15–90°, by angle)
| 2theta | I_rel |
| --- | --- |
| 18.31 | 100 |
| 34.69 | 14 |
| 36.26 | 24 |
| 41.80 | 29 |
| 44.10 | 57 |
| 47.24 | 9 |
| 58.08 | 9 |
| 62.38 | 28 |